Structure and theoretical powder XRD pattern of Li3Mn4O8 (DFT lattice parameters and positions (GGA+U); a wavelength of 1.5418 Å).

Crystal structure
```
30
Lattice="5.0488 -2.9642 0.0000 5.0488 2.9642 0.0000 -3.2875 0.0000 10.3866" Properties=species:S:1:pos:R:3 pbc="T T T"
Li 0.8807 1.4821 5.1933
Li 0.8363 1.5120 7.3979
Li 4.3300 1.5120 8.1819
Li 2.5244 -1.4821 0.0000
Li 2.4801 -1.5120 2.2046
Li 5.9738 -1.5120 2.9886
Mn 0.0000 0.0000 0.0000
Mn -1.6437 0.0000 5.1933
Mn 2.5244 1.4821 0.0000
Mn 4.2269 1.4825 2.5966
Mn 0.8807 -1.4821 5.1933
Mn 5.0488 0.0000 0.0000
Mn 3.4050 0.0000 5.1933
Mn 2.5832 -1.4825 7.7899
O -1.6380 0.0981 9.3097
O 0.0057 -0.0981 4.1164
O 2.6499 1.4597 4.1302
O 0.8376 1.3267 9.3093
O 3.4030 0.0838 1.0838
O 5.8039 1.4597 1.0631
O 1.7592 -0.0838 6.2771
O 4.3288 1.3267 6.2706
O 2.4813 -1.3267 4.1160
O 5.0509 0.0838 4.1095
O 1.0062 -1.4597 9.3234
O 3.4071 -0.0838 9.3028
O 5.9725 -1.3267 1.0773
O 4.1602 -1.4597 6.2564
O 6.8043 0.0981 6.2702
O 8.4481 -0.0981 1.0769
```

Peak list (10 most intense, 15 to 90 degrees two-theta, by angle)
- 2θ 17.1, d 5.193, intensity 100.0
- 2θ 18.3, d 4.852, intensity 97.1
- 2θ 18.4, d 4.813, intensity 41.2
- 2θ 34.9, d 2.574, intensity 19.9
- 2θ 35.1, d 2.557, intensity 21.0
- 2θ 35.3, d 2.543, intensity 18.5
- 2θ 42.2, d 2.141, intensity 95.2
- 2θ 42.8, d 2.111, intensity 45.8
- 2θ 59.8, d 1.547, intensity 42.0
- 2θ 63.6, d 1.463, intensity 26.5